# Na2ZnAgH6
Theoretical powder X-ray diffraction pattern, Cu Kα (weighted mean of Kα1 and Kα2). Input: a structure optimized by DFT (PBE).
Intensities are scaled so that the largest is 100.

Cell and atoms:
```
data_Na2ZnAgH6
_chemical_formula_sum 'Na4 Zn2 Ag2 H12'
_cell_length_a 4.7831
_cell_length_b 4.7831
_cell_length_c 9.6215
_cell_angle_alpha 90.00
_cell_angle_beta 90.00
_cell_angle_gamma 90.00
_space_group_name_H-M_alt 'I 4 m m'
_space_group_IT_number 107
_space_group_name_Hall 'I 4 -2'
loop_
_atom_site_label
_atom_site_fract_x
_atom_site_fract_y
_atom_site_fract_z
_atom_site_occupancy
Na1 0.0000 0.5000 0.0000 1
Zn1 0.0000 0.0000 0.2455 1
Ag1 0.0000 0.0000 0.7482 1
H1 0.0000 0.0000 0.0738 1
H2 0.0000 0.0000 0.5565 1
H3 0.2437 0.2437 0.3057 1
```

Largest 8 diffraction maxima, by intensity, 10 to 80 degrees two-theta:
Position (°2θ)	Rel. int.	h k l
32.4	100	1 1 2
18.4	36	0 0 2
37.6	33	2 0 0
26.4	30	1 1 0
64.6	25	3 1 2
54.1	22	2 0 4
37.4	17	0 0 4
42.2	15	2 0 2

***

# SnI3
Theoretical powder X-ray diffraction pattern, Cu Kα (weighted mean of Kα1 and Kα2). Input: a structure optimized by DFT (PBE).
Intensities are scaled so that the largest is 100.

Cell and atoms:
```
data_SnI3
_chemical_formula_sum 'Sn2 I6'
_cell_length_a 3.8917
_cell_length_b 12.8643
_cell_length_c 7.8700
_cell_angle_alpha 90.00
_cell_angle_beta 90.00
_cell_angle_gamma 90.00
_space_group_name_H-M_alt 'I m m 2'
_space_group_IT_number 44
loop_
_space_group_symop_operation_xyz
'x,y,z'
'-x,-y,z'
'-x,y,z'
'x,-y,z'
'x+1/2,y+1/2,z+1/2'
'-x+1/2,-y+1/2,z+1/2'
'-x+1/2,y+1/2,z+1/2'
'x+1/2,-y+1/2,z+1/2'
loop_
_atom_site_label
_atom_site_fract_x
_atom_site_fract_y
_atom_site_fract_z
_atom_site_occupancy
Sn1 0.0000 0.0000 0.0000 1
I1 0.0000 0.3409 0.6498 1
I2 0.0000 0.5000 0.1997 1
```

Largest 8 diffraction maxima, by intensity, 10 to 80 degrees two-theta:
Position (°2θ)	Rel. int.	h k l
23.6	100	0 3 1
29.1	99	1 2 1
13.2	93	0 1 1
33.1	87	1 1 2
38.1	69	1 4 1
22.6	53	0 0 2
40.3	48	0 3 3
48.3	43	0 6 2

***

# LiCaNiAs2
Theoretical powder X-ray diffraction pattern, Cu Kα (weighted mean of Kα1 and Kα2). Input: a structure optimized by DFT (PBE).
Intensities are scaled so that the largest is 100.

Cell and atoms:
```
data_LiCaNiAs2
_chemical_formula_sum 'Li2 Ca2 Ni2 As4'
_cell_length_a 5.2586
_cell_length_b 5.9122
_cell_length_c 5.8983
_cell_angle_alpha 90.00
_cell_angle_beta 90.00
_cell_angle_gamma 90.00
_space_group_name_H-M_alt 'P m m a'
_space_group_IT_number 51
loop_
_space_group_symop_operation_xyz
'x,y,z'
'-x,-y,-z'
'-x+1/2,-y,z'
'x+1/2,y,-z'
'x+1/2,-y,-z'
'-x+1/2,y,z'
'-x,y,-z'
'x,-y,z'
loop_
_atom_site_label
_atom_site_fract_x
_atom_site_fract_y
_atom_site_fract_z
_atom_site_occupancy
Li1 0.2500 0.0000 0.1215 1
Ca1 0.2500 0.5000 0.2787 1
Ni1 0.0000 0.0000 0.5000 1
As1 0.2500 0.2349 0.7461 1
```

Largest 8 diffraction maxima, by intensity, 10 to 80 degrees two-theta:
Position (°2θ)	Rel. int.	h k l
38.1	100	1 2 1
46.2	70	2 0 2
22.7	59	1 0 1
15.0	47	0 0 1
43.3	28	0 2 2
59.1	23	1 2 3
34.0	22	0 1 2
30.3	22	0 0 2

***

# Li4SnB2O6
Theoretical powder X-ray diffraction pattern, Cu Kα (weighted mean of Kα1 and Kα2). Input: a structure optimized by DFT (PBE).
Intensities are scaled so that the largest is 100.

Cell and atoms:
```
data_Li4SnB2O6
_chemical_formula_sum 'Li8 Sn2 B4 O12'
_cell_length_a 8.8390
_cell_length_b 9.3270
_cell_length_c 3.5020
_cell_angle_alpha 90.00
_cell_angle_beta 90.00
_cell_angle_gamma 90.00
_space_group_name_H-M_alt 'P n n m'
_space_group_IT_number 58
loop_
_space_group_symop_operation_xyz
'x,y,z'
'-x,-y,-z'
'-x,-y,z'
'x,y,-z'
'x+1/2,-y+1/2,-z+1/2'
'-x+1/2,y+1/2,z+1/2'
'-x+1/2,y+1/2,-z+1/2'
'x+1/2,-y+1/2,z+1/2'
loop_
_atom_site_label
_atom_site_fract_x
_atom_site_fract_y
_atom_site_fract_z
_atom_site_occupancy
Li1 0.0059 0.1929 0.0000 1
Li2 0.1934 0.0256 0.5000 1
Sn1 0.0000 0.5000 0.5000 1
B1 0.2395 0.7739 0.5000 1
O1 0.0951 0.8299 0.5000 1
O2 0.1369 0.3702 0.0000 1
O3 0.2267 0.1281 0.0000 1
```

Largest 8 diffraction maxima, by intensity, 10 to 80 degrees two-theta:
Position (°2θ)	Rel. int.	h k l
13.8	100	1 1 0
33.6	27	1 2 1
30.5	26	1 3 0
34.0	23	2 1 1
27.4	23	1 0 1
27.8	22	2 2 0
44.0	19	2 3 1
49.8	19	4 1 1

***

# Na5Sr6Zn5
Theoretical powder X-ray diffraction pattern, Cu Kα (weighted mean of Kα1 and Kα2). Input: a structure optimized by DFT (PBE).
Intensities are scaled so that the largest is 100.

Cell and atoms:
```
data_Na5Sr6Zn5
_chemical_formula_sum 'Na10 Sr12 Zn10'
_cell_length_a 6.7976
_cell_length_b 16.1637
_cell_length_c 10.0942
_cell_angle_alpha 90.00
_cell_angle_beta 90.00
_cell_angle_gamma 90.00
_space_group_name_H-M_alt 'A m m 2'
_space_group_IT_number 38
loop_
_space_group_symop_operation_xyz
'x,y,z'
'-x,-y,z'
'-x,y,z'
'x,-y,z'
'x,y+1/2,z+1/2'
'-x,-y+1/2,z+1/2'
'-x,y+1/2,z+1/2'
'x,-y+1/2,z+1/2'
loop_
_atom_site_label
_atom_site_fract_x
_atom_site_fract_y
_atom_site_fract_z
_atom_site_occupancy
Na1 0.0000 0.0000 0.0000 1
Na2 0.0000 0.1027 0.3348 1
Na3 0.5000 0.1009 0.1636 1
Sr1 0.0000 0.0000 0.6378 1
Sr2 0.0000 0.2179 0.0560 1
Sr3 0.5000 0.0000 0.8118 1
Sr4 0.5000 0.1936 0.4921 1
Zn1 0.2199 0.1720 0.7799 1
Zn2 0.5000 0.0000 0.4688 1
```

Largest 8 diffraction maxima, by intensity, 10 to 80 degrees two-theta:
Position (°2θ)	Rel. int.	h k l
10.3	100	0 1 1
32.4	78	2 3 1
31.3	77	0 3 3
30.1	66	1 1 3
31.7	59	2 0 2
33.7	57	2 2 2
31.9	52	1 5 1
22.8	49	1 3 1

***

# CsDyP2Pt4
Theoretical powder X-ray diffraction pattern, Cu Kα (weighted mean of Kα1 and Kα2). Input: a structure optimized by DFT (PBE).
Intensities are scaled so that the largest is 100.

Cell and atoms:
```
data_CsDyP2Pt4
_chemical_formula_sum 'Cs1 Dy1 P2 Pt4'
_cell_length_a 4.0457
_cell_length_b 4.0457
_cell_length_c 11.3664
_cell_angle_alpha 90.00
_cell_angle_beta 90.00
_cell_angle_gamma 90.00
_space_group_name_H-M_alt 'P 4/m m m'
_space_group_IT_number 123
_space_group_name_Hall '-P 4 2'
loop_
_atom_site_label
_atom_site_fract_x
_atom_site_fract_y
_atom_site_fract_z
_atom_site_occupancy
Cs1 0.0000 0.0000 0.0000 1
Dy1 0.0000 0.0000 0.5000 1
P1 0.5000 0.5000 0.2070 1
Pt1 0.0000 0.5000 0.3115 1
```

Largest 8 diffraction maxima, by intensity, 10 to 80 degrees two-theta:
Position (°2θ)	Rel. int.	h k l
35.1	100	1 1 2
39.5	71	1 1 3
44.8	51	2 0 0
23.5	44	0 0 3
27.1	38	1 0 2
51.3	31	1 1 5
15.6	29	0 0 2
51.2	23	2 0 3

***

# CaMg2Cl6
Theoretical powder X-ray diffraction pattern, Cu Kα (weighted mean of Kα1 and Kα2). Input: a structure optimized by DFT (PBE).
Intensities are scaled so that the largest is 100.

Cell and atoms:
```
data_CaMg2Cl6
_chemical_formula_sum 'Ca3 Mg6 Cl18'
_cell_length_a 6.6377
_cell_length_b 6.6377
_cell_length_c 17.7473
_cell_angle_alpha 90.00
_cell_angle_beta 90.00
_cell_angle_gamma 120.00
_space_group_name_H-M_alt 'R 3'
_space_group_IT_number 146
_space_group_name_Hall 'R 3'
loop_
_atom_site_label
_atom_site_fract_x
_atom_site_fract_y
_atom_site_fract_z
_atom_site_occupancy
Ca1 0.0000 0.0000 0.0000 1
Mg1 0.0000 0.0000 0.4957 1
Mg2 0.0000 0.0000 0.6820 1
Cl1 0.0015 0.7088 0.5897 1
Cl2 0.0139 0.3360 0.4223 1
```

Largest 8 diffraction maxima, by intensity, 10 to 80 degrees two-theta:
Position (°2θ)	Rel. int.	h k l
30.9	100	2 -1 3
40.9	47	2 -1 6
47.4	31	3 0 0
18.4	23	0 1 2
54.1	19	1 1 9
16.2	11	1 0 1
57.7	10	2 2 3
64.4	10	2 2 6